Record 1
Starting from a crystal structure in Alexandria, relaxed with GGA-PBE, the PXRD pattern of Tb2ErPt3 was simulated for Cu Kα, 1.54184 Å.
Neutral-atom scattering factors, no anomalous dispersion.

Structure:
```
data_Tb2ErPt3
_symmetry_space_group_name_H-M 'P 1'
_symmetry_Int_Tables_number 1
_symmetry_space_group_name_Hall 'P 1'
_cell_length_a 4.964
_cell_length_b 14.922
_cell_length_c 3.454
_cell_angle_alpha 90.00
_cell_angle_beta 90.00
_cell_angle_gamma 90.00
loop_
_atom_site_label
_atom_site_fract_x
_atom_site_fract_y
_atom_site_fract_z
Tb1 0.250 0.083 0.000
Tb2 0.250 0.417 0.000
Tb3 0.750 0.583 0.000
Tb4 0.750 0.917 0.000
Er1 0.250 0.750 0.001
Er2 0.750 0.250 0.999
Pt1 0.250 0.250 0.500
Pt2 0.250 0.587 0.501
Pt3 0.250 0.913 0.501
Pt4 0.750 0.087 0.499
Pt5 0.750 0.413 0.499
Pt6 0.750 0.750 0.500
```

Largest 8 diffraction maxima, sorted by position, 10° ≤ 2θ ≤ 80°:
2θ 36.15, rel. 51; 2θ 36.48, rel. 100; 2θ 52.05, rel. 18; 2θ 53.03, rel. 9; 2θ 65.23, rel. 37; 2θ 65.87, rel. 18; 2θ 76.80, rel. 3; 2θ 77.51, rel. 11


Record 2
Starting from a crystal structure in Alexandria, relaxed with GGA-PBE, the PXRD pattern of Tb3ErPt3 was simulated for Cu Kα, 1.54184 Å.
Neutral-atom scattering factors, no anomalous dispersion.

Structure:
```
data_Tb3ErPt3
_symmetry_space_group_name_H-M 'P 1'
_symmetry_Int_Tables_number 1
_symmetry_space_group_name_Hall 'P 1'
_cell_length_a 6.968
_cell_length_b 6.968
_cell_length_c 7.112
_cell_angle_alpha 90.89
_cell_angle_beta 90.89
_cell_angle_gamma 97.40
loop_
_atom_site_label
_atom_site_fract_x
_atom_site_fract_y
_atom_site_fract_z
Tb1 0.176 0.824 0.000
Tb2 0.249 0.751 0.500
Tb3 0.335 0.335 0.121
Tb4 0.665 0.665 0.879
Tb5 0.751 0.249 0.500
Tb6 0.824 0.176 0.000
Er1 0.258 0.258 0.616
Er2 0.742 0.742 0.384
Pt1 0.022 0.495 0.782
Pt2 0.060 0.060 0.307
Pt3 0.495 0.022 0.782
Pt4 0.505 0.978 0.218
Pt5 0.940 0.940 0.693
Pt6 0.978 0.505 0.218
```

Largest 8 diffraction maxima, sorted by position, 10° ≤ 2θ ≤ 80°:
2θ 12.81, rel. 31; 2θ 30.23, rel. 28; 2θ 32.19, rel. 41; 2θ 32.68, rel. 27; 2θ 34.26, rel. 58; 2θ 35.93, rel. 100; 2θ 37.57, rel. 32; 2θ 54.49, rel. 33


Record 3
Starting from a crystal structure in Alexandria, relaxed with GGA-PBE, the PXRD pattern of Tb5ErPt4 was simulated for Cu Kα, 1.54184 Å.
Neutral-atom scattering factors, no anomalous dispersion.

Structure:
```
data_Tb5ErPt4
_symmetry_space_group_name_H-M 'P 1'
_symmetry_Int_Tables_number 1
_symmetry_space_group_name_Hall 'P 1'
_cell_length_a 9.653
_cell_length_b 9.653
_cell_length_c 7.691
_cell_angle_alpha 113.44
_cell_angle_beta 113.44
_cell_angle_gamma 24.62
loop_
_atom_site_label
_atom_site_fract_x
_atom_site_fract_y
_atom_site_fract_z
Tb1 0.000 0.000 0.000
Tb2 0.337 0.337 0.095
Tb3 0.337 0.337 0.578
Tb4 0.663 0.663 0.422
Tb5 0.663 0.663 0.905
Er1 0.000 0.000 0.500
Pt1 0.209 0.209 0.709
Pt2 0.500 0.500 0.250
Pt3 0.500 0.500 0.750
Pt4 0.791 0.791 0.291
```

Largest 8 diffraction maxima, sorted by position, 10° ≤ 2θ ≤ 80°:
2θ 20.62, rel. 17; 2θ 26.65, rel. 18; 2θ 31.16, rel. 46; 2θ 32.28, rel. 100; 2θ 41.47, rel. 72; 2θ 44.00, rel. 26; 2θ 47.27, rel. 19; 2θ 54.89, rel. 19